Simulated X-ray powder pattern
Compound: Sm3TmSi4
Radiation: Cu Ka
Structure: the PBE geometry in Alexandria
Peak positions follow from Bragg's law for the DFT cell and can differ from measured ones.

Structure:
a = 8.733 Å, b = 8.733 Å, c = 8.733 Å
α = 152.69°, β = 138.17°, γ = 50.68°
Positions (direct):
Sm (0.000, 0.000, 0.000)
Sm (0.306, 0.806, 0.500)
Sm (0.694, 0.194, 0.500)
Tm (0.500, 0.500, 0.000)
Si (0.057, 0.370, 0.687)
Si (0.316, 0.630, 0.687)
Si (0.684, 0.370, 0.313)
Si (0.943, 0.630, 0.313)

Top 6 peaks for 15 to 90 degrees two-theta, sorted by position:
- 28.31 deg, 3.153 Å, I = 1000
- 28.64 deg, 3.117 Å, I = 231
- 34.60 deg, 2.593 Å, I = 196
- 36.74 deg, 2.446 Å, I = 164
- 50.52 deg, 1.806 Å, I = 196
- 53.55 deg, 1.711 Å, I = 179

=====

Simulated X-ray powder pattern
Compound: Sm3Y3Si4
Radiation: Cu Ka
Structure: the PBE geometry in Alexandria
Peak positions follow from Bragg's law for the DFT cell and can differ from measured ones.

Structure:
a = 4.303 Å, b = 7.554 Å, c = 7.554 Å
α = 90.43°, β = 90.00°, γ = 90.00°
Positions (direct):
Sm (0.000, 0.000, 0.000)
Sm (0.000, 0.498, 0.851)
Sm (0.000, 0.851, 0.498)
Y (0.000, 0.352, 0.352)
Y (0.500, 0.175, 0.676)
Y (0.500, 0.676, 0.175)
Si (0.500, 0.063, 0.293)
Si (0.500, 0.293, 0.063)
Si (0.500, 0.557, 0.557)
Si (0.500, 0.789, 0.789)

Top 6 peaks for 15 to 90 degrees two-theta, sorted by position:
- 26.30 deg, 3.388 Å, I = 316
- 26.62 deg, 3.349 Å, I = 307
- 31.52 deg, 2.839 Å, I = 1000
- 33.67 deg, 2.662 Å, I = 843
- 33.79 deg, 2.652 Å, I = 607
- 41.99 deg, 2.151 Å, I = 289

=====

Simulated X-ray powder pattern
Compound: SmZn11Si
Radiation: Cu Ka
Structure: the PBE geometry in Alexandria
Peak positions follow from Bragg's law for the DFT cell and can differ from measured ones.

Structure:
a = 6.870 Å, b = 6.870 Å, c = 6.760 Å
α = 98.26°, β = 98.26°, γ = 135.21°
Positions (direct):
Sm (0.000, 0.000, 0.000)
Zn (0.000, 0.357, 0.355)
Zn (0.000, 0.500, 0.000)
Zn (0.000, 0.643, 0.645)
Zn (0.288, 0.505, 0.784)
Zn (0.357, 0.000, 0.355)
Zn (0.495, 0.712, 0.216)
Zn (0.500, 0.000, 0.000)
Zn (0.500, 0.500, 0.500)
Zn (0.505, 0.288, 0.784)
Zn (0.643, 0.000, 0.645)
Zn (0.712, 0.495, 0.216)
Si (0.000, 0.000, 0.500)

Top 6 peaks for 15 to 90 degrees two-theta, sorted by position:
- 34.58 deg, 2.594 Å, I = 369
- 39.80 deg, 2.265 Å, I = 399
- 40.10 deg, 2.249 Å, I = 1000
- 40.44 deg, 2.231 Å, I = 840
- 40.74 deg, 2.215 Å, I = 348
- 44.88 deg, 2.019 Å, I = 271